(1)
# Sm2ErIr
Computed powder diffraction line list, a wavelength of 1.5418 Å. Input: a DFT-relaxed cell (GGA-PBE, Alexandria).

```
Sm2ErIr
1.0
7.259 0.000 0.000
0.000 9.634 0.000
0.000 0.000 6.388
Sm Er Ir
8 4 4
Direct
0.179 0.064 0.174 Sm
0.179 0.436 0.174 Sm
0.321 0.564 0.674 Sm
0.321 0.936 0.674 Sm
0.679 0.064 0.326 Sm
0.679 0.436 0.326 Sm
0.821 0.564 0.826 Sm
0.821 0.936 0.826 Sm
0.037 0.250 0.643 Er
0.463 0.750 0.143 Er
0.537 0.250 0.857 Er
0.963 0.750 0.357 Er
0.119 0.750 0.956 Ir
0.381 0.250 0.456 Ir
0.619 0.750 0.544 Ir
0.881 0.250 0.044 Ir
```

Main lines, in order of rising 2θ (2θ = 10–80°):
2theta	intensity
18.5	42
20.7	33
29.8	43
30.8	54
31.2	66
32.0	85
33.6	100
34.0	63
37.4	64
38.7	36
39.8	34
48.4	39


(2)
# UReRh
Computed powder diffraction line list, a wavelength of 1.5418 Å. Input: a DFT-relaxed cell (GGA-PBE, Alexandria).

```
UReRh
1.0
4.178 0.000 0.000
0.000 12.338 0.000
0.000 0.000 3.953
U Re Rh
4 4 4
Direct
0.000 0.079 0.250 U
0.000 0.921 0.750 U
0.500 0.421 0.750 U
0.500 0.579 0.250 U
0.000 0.407 0.250 Re
0.000 0.593 0.750 Re
0.500 0.093 0.750 Re
0.500 0.907 0.250 Re
0.000 0.251 0.750 Rh
0.000 0.749 0.250 Rh
0.500 0.249 0.250 Rh
0.500 0.751 0.750 Rh
```

Main lines, in order of rising 2θ (2θ = 10–80°):
2theta	intensity
14.4	7
32.0	7
38.2	100
43.3	18
44.0	16
45.9	16
63.5	11
64.9	11
65.5	10
76.1	15
77.1	12
79.8	12


(3)
# Pr2Zn5IrRh2
Computed powder diffraction line list, a wavelength of 1.5418 Å. Input: a DFT-relaxed cell (GGA-PBE, Alexandria).

```
Pr2Zn5IrRh2
1.0
9.823 0.000 0.000
0.000 9.823 0.000
0.000 0.000 3.769
Pr Zn Ir Rh
4 10 2 4
Direct
0.179 0.321 0.000 Pr
0.321 0.821 0.000 Pr
0.679 0.179 0.000 Pr
0.821 0.679 0.000 Pr
0.000 0.500 0.500 Zn
0.053 0.812 0.500 Zn
0.188 0.053 0.500 Zn
0.312 0.553 0.500 Zn
0.447 0.312 0.500 Zn
0.500 0.000 0.500 Zn
0.553 0.688 0.500 Zn
0.688 0.447 0.500 Zn
0.812 0.947 0.500 Zn
0.947 0.188 0.500 Zn
0.000 0.000 0.000 Ir
0.500 0.500 0.000 Ir
0.125 0.625 0.000 Rh
0.375 0.125 0.000 Rh
0.625 0.875 0.000 Rh
0.875 0.375 0.000 Rh
```

Main lines, in order of rising 2θ (2θ = 10–80°):
2theta	intensity
23.6	13
25.6	9
28.7	18
35.1	26
37.5	100
37.8	26
38.9	11
40.9	23
41.1	9
48.3	19
62.6	8
62.9	11


(4)
# Pm2Dy5Ho3
Computed powder diffraction line list, a wavelength of 1.5418 Å. Input: a DFT-relaxed cell (GGA-PBE, Alexandria).

```
Pm2Dy5Ho3
1.0
5.305 -7.951 0.000
5.305 7.951 0.000
-5.261 0.000 7.777
Pm Dy Ho
4 10 6
Direct
0.012 0.268 0.046 Pm
0.268 0.012 0.546 Pm
0.732 0.988 0.454 Pm
0.988 0.732 0.954 Pm
0.022 0.978 0.750 Dy
0.150 0.391 0.786 Dy
0.231 0.769 0.750 Dy
0.391 0.150 0.286 Dy
0.472 0.528 0.250 Dy
0.528 0.472 0.750 Dy
0.609 0.850 0.714 Dy
0.769 0.231 0.250 Dy
0.850 0.609 0.214 Dy
0.978 0.022 0.250 Dy
0.220 0.463 0.451 Ho
0.275 0.725 0.250 Ho
0.463 0.220 0.951 Ho
0.537 0.780 0.049 Ho
0.725 0.275 0.750 Ho
0.780 0.537 0.549 Ho
```

Main lines, in order of rising 2θ (2θ = 10–80°):
2theta	intensity
30.4	100
30.6	45
30.7	46
32.2	23
33.8	44
35.8	12
38.0	16
45.6	11
49.2	19
58.4	14
58.7	11
65.9	21


(5)
# PmHo2UO8
Computed powder diffraction line list, a wavelength of 1.5418 Å. Input: a DFT-relaxed cell (GGA-PBE, Alexandria).

```
PmHo2UO8
1.0
3.898 0.000 0.000
0.000 5.312 0.000
0.000 0.000 7.610
Pm Ho U O
1 2 1 8
Direct
0.000 0.000 0.000 Pm
0.500 0.500 0.258 Ho
0.500 0.500 0.742 Ho
0.000 0.000 0.500 U
0.000 0.244 0.276 O
0.000 0.244 0.724 O
0.000 0.756 0.276 O
0.000 0.756 0.724 O
0.500 0.233 0.500 O
0.500 0.265 0.000 O
0.500 0.735 0.000 O
0.500 0.767 0.500 O
```

Main lines, in order of rising 2θ (2θ = 10–80°):
2theta	intensity
28.4	100
28.9	94
32.9	44
33.7	21
46.6	18
47.8	81
55.7	31
56.5	29
57.1	14
57.4	14
76.9	12
77.6	16


(6)
# Pr2DyYTm2
Computed powder diffraction line list, a wavelength of 1.5418 Å. Input: a DFT-relaxed cell (GGA-PBE, Alexandria).

```
Pr2DyYTm2
1.0
7.048 0.000 0.000
0.000 5.662 0.000
0.000 0.000 9.809
Pr Dy Y Tm
4 2 2 4
Direct
0.000 0.000 0.000 Pr
0.250 0.500 0.176 Pr
0.500 0.000 0.000 Pr
0.750 0.500 0.824 Pr
0.250 0.000 0.660 Dy
0.750 0.000 0.340 Dy
0.000 0.500 0.500 Y
0.500 0.500 0.500 Y
0.250 0.000 0.333 Tm
0.250 0.500 0.835 Tm
0.750 0.000 0.667 Tm
0.750 0.500 0.165 Tm
```

Main lines, in order of rising 2θ (2θ = 10–80°):
2theta	intensity
25.3	13
31.3	83
31.6	100
40.9	21
45.0	30
51.9	8
56.1	31
56.3	19
62.0	29
62.6	6
66.0	12
74.8	13


(7)
# Cs3ThS4
Computed powder diffraction line list, a wavelength of 1.5418 Å. Input: a DFT-relaxed cell (GGA-PBE, Alexandria).

```
Cs3ThS4
1.0
9.795 0.000 0.000
0.000 13.973 0.000
0.000 0.000 4.403
Cs Th S
6 2 8
Direct
0.000 0.000 0.000 Cs
0.250 0.250 0.500 Cs
0.250 0.750 0.500 Cs
0.500 0.500 0.000 Cs
0.750 0.250 0.500 Cs
0.750 0.750 0.500 Cs
0.000 0.500 0.000 Th
0.500 0.000 0.000 Th
0.000 0.303 0.000 S
0.000 0.697 0.000 S
0.190 0.500 0.500 S
0.310 0.000 0.500 S
0.500 0.197 0.000 S
0.500 0.803 0.000 S
0.690 0.000 0.500 S
0.810 0.500 0.500 S
```

Main lines, in order of rising 2θ (2θ = 10–80°):
2theta	intensity
11.0	29
22.2	79
23.9	61
25.5	54
27.2	100
36.7	20
37.7	72
43.0	20
44.3	31
45.2	19
47.1	22
48.9	18


(8)
# Te2Mo2WSe2S2
Computed powder diffraction line list, a wavelength of 1.5418 Å. Input: a DFT-relaxed cell (GGA-PBE, Alexandria).

```
Te2Mo2WSe2S2
1.0
3.351 0.000 0.000
-1.675 2.902 0.000
0.000 0.000 27.090
Te Mo W Se S
2 2 1 2 2
Direct
0.000 0.000 0.000 Te
0.000 0.000 0.141 Te
0.000 0.000 0.799 Mo
0.667 0.333 0.540 Mo
0.667 0.333 0.070 W
0.000 0.000 0.479 Se
0.000 0.000 0.602 Se
0.667 0.333 0.743 S
0.667 0.333 0.854 S
```

Main lines, in order of rising 2θ (2θ = 10–80°):
2theta	intensity
13.1	71
30.8	52
31.5	20
33.6	26
35.1	39
36.8	100
41.0	25
43.3	57
45.8	23
54.8	36
72.3	20
77.8	25


(9)
# Ba2Tl5Pb3
Computed powder diffraction line list, a wavelength of 1.5418 Å. Input: a DFT-relaxed cell (GGA-PBE, Alexandria).

```
Ba2Tl5Pb3
1.0
-7.069 7.189 3.557
7.069 -7.189 3.557
7.069 7.189 -3.557
Ba Tl Pb
4 10 6
Direct
0.124 0.248 0.372 Ba
0.376 0.748 0.124 Ba
0.624 0.252 0.876 Ba
0.876 0.752 0.628 Ba
0.000 0.250 0.750 Tl
0.000 0.750 0.250 Tl
0.126 0.861 0.987 Tl
0.250 0.750 0.500 Tl
0.374 0.361 0.734 Tl
0.500 0.250 0.250 Tl
0.500 0.750 0.750 Tl
0.626 0.639 0.266 Tl
0.750 0.250 0.500 Tl
0.874 0.139 0.013 Tl
0.128 0.642 0.770 Pb
0.250 0.250 0.000 Pb
0.372 0.142 0.514 Pb
0.628 0.858 0.486 Pb
0.750 0.750 0.000 Pb
0.872 0.358 0.230 Pb
```

Main lines, in order of rising 2θ (2θ = 10–80°):
2theta	intensity
12.5	24
18.6	35
25.8	54
27.8	80
28.1	78
35.5	100
35.6	47
35.8	46
36.4	57
51.6	21
51.9	21
64.3	39


(10)
# Ba2NiRh
Computed powder diffraction line list, a wavelength of 1.5418 Å. Input: a DFT-relaxed cell (GGA-PBE, Alexandria).

```
Ba2NiRh
1.0
4.350 0.000 0.000
-2.175 3.767 0.000
0.000 0.000 25.603
Ba Ni Rh
6 3 3
Direct
0.000 0.000 0.000 Ba
0.000 0.000 0.160 Ba
0.333 0.667 0.667 Ba
0.333 0.667 0.827 Ba
0.667 0.333 0.333 Ba
0.667 0.333 0.494 Ba
0.000 0.000 0.747 Ni
0.333 0.667 0.414 Ni
0.667 0.333 0.080 Ni
0.000 0.000 0.413 Rh
0.333 0.667 0.080 Rh
0.667 0.333 0.747 Rh
```

Main lines, in order of rising 2θ (2θ = 10–80°):
2theta	intensity
10.4	100
23.9	28
27.5	36
29.4	68
34.2	55
36.9	26
41.5	55
42.4	17
42.9	18
51.7	14
54.8	14
60.8	34


(11)
# AcCu2F11
Computed powder diffraction line list, a wavelength of 1.5418 Å. Input: a DFT-relaxed cell (GGA-PBE, Alexandria).

```
AcCu2F11
1.0
-4.575 4.582 5.304
4.575 -4.582 5.304
4.575 4.582 -5.304
Ac Cu F
2 4 22
Direct
0.250 0.250 0.000 Ac
0.750 0.750 0.000 Ac
0.203 0.703 0.906 Cu
0.297 0.203 0.500 Cu
0.703 0.797 0.500 Cu
0.797 0.297 0.094 Cu
0.000 0.500 0.500 F
0.021 0.325 0.104 F
0.082 0.979 0.303 F
0.137 0.364 0.500 F
0.175 0.479 0.896 F
0.221 0.917 0.896 F
0.279 0.175 0.697 F
0.325 0.221 0.303 F
0.363 0.864 0.227 F
0.418 0.721 0.896 F
0.479 0.583 0.303 F
0.500 0.000 0.500 F
0.521 0.417 0.697 F
0.582 0.279 0.104 F
0.637 0.136 0.773 F
0.675 0.779 0.697 F
0.721 0.825 0.303 F
0.779 0.083 0.104 F
0.825 0.521 0.104 F
0.863 0.636 0.500 F
0.918 0.021 0.697 F
0.979 0.675 0.896 F
```

Main lines, in order of rising 2θ (2θ = 10–80°):
2theta	intensity
13.7	84
21.7	100
23.3	15
25.7	96
27.5	34
30.9	22
35.3	29
44.2	38
45.4	24
46.4	35
47.6	20
53.9	17


(12)
# Li5Ga3
Computed powder diffraction line list, a wavelength of 1.5418 Å. Input: a DFT-relaxed cell (GGA-PBE, Alexandria).

```
Li5Ga3
1.0
2.250 1.299 7.650
-2.250 1.299 7.650
0.000 -2.598 7.650
Li Ga
5 3
Direct
0.000 0.000 0.000 Li
0.237 0.237 0.237 Li
0.380 0.380 0.380 Li
0.620 0.620 0.620 Li
0.763 0.763 0.763 Li
0.115 0.115 0.115 Ga
0.500 0.500 0.500 Ga
0.885 0.885 0.885 Ga
```

Main lines, in order of rising 2θ (2θ = 10–80°):
2theta	intensity
11.6	100
24.1	21
30.1	54
39.0	38
40.1	42
41.9	26
45.9	13
50.9	12
57.2	12
57.3	9
66.7	10
72.1	12


Please write out number 1 again, unchanged.
# Sm2ErIr
Computed powder diffraction line list, a wavelength of 1.5418 Å. Input: a DFT-relaxed cell (GGA-PBE, Alexandria).

```
Sm2ErIr
1.0
7.259 0.000 0.000
0.000 9.634 0.000
0.000 0.000 6.388
Sm Er Ir
8 4 4
Direct
0.179 0.064 0.174 Sm
0.179 0.436 0.174 Sm
0.321 0.564 0.674 Sm
0.321 0.936 0.674 Sm
0.679 0.064 0.326 Sm
0.679 0.436 0.326 Sm
0.821 0.564 0.826 Sm
0.821 0.936 0.826 Sm
0.037 0.250 0.643 Er
0.463 0.750 0.143 Er
0.537 0.250 0.857 Er
0.963 0.750 0.357 Er
0.119 0.750 0.956 Ir
0.381 0.250 0.456 Ir
0.619 0.750 0.544 Ir
0.881 0.250 0.044 Ir
```

Main lines, in order of rising 2θ (2θ = 10–80°):
2theta	intensity
18.5	42
20.7	33
29.8	43
30.8	54
31.2	66
32.0	85
33.6	100
34.0	63
37.4	64
38.7	36
39.8	34
48.4	39